The following is a computed X-ray diffraction stick pattern of Rb2BeNi2F14. It was derived from a crystal structure in the Materials Project, relaxed with PBE+U, using copper Kα.
Lines closer than 0.1° are merged.

Main lines, by angle (15° ≤ 2θ ≤ 90°):
(1 1 1), d 4.569, rel. 87
(0 3 1), d 3.868, rel. 75
(1 0 -2), d 3.783, rel. 94
(1 0 2), d 3.506, rel. 100
(1 3 -1), d 3.319, rel. 40
(1 3 1), d 3.217, rel. 45
(2 0 0), d 3.057, rel. 42
(2 1 -1), d 2.891, rel. 30
(1 4 -1), d 2.739, rel. 27
(0 3 3), d 2.466, rel. 48

Atomic structure:
Cell: 6.1322 12.8335 9.0784 Å, 90.00 94.53 90.00°
Sites, in units of the cell vectors:
1 Rb 0.2139 0.1842 0.3454
2 Rb 0.2139 0.3158 0.8454
3 Rb 0.7861 0.6842 0.1546
4 Rb 0.7861 0.8158 0.6546
5 Be 0.5000 0.0000 0.0000
6 Be 0.5000 0.5000 0.5000
7 Ni 0.2535 0.6306 0.8855
8 Ni 0.2535 0.8694 0.3855
9 Ni 0.7465 0.1306 0.6145
10 Ni 0.7465 0.3694 0.1145
11 F 0.0465 0.7293 0.8874
12 F 0.0465 0.7707 0.3874
13 F 0.1644 0.5340 0.7458
14 F 0.1644 0.9660 0.2458
15 F 0.2501 0.5595 0.0548
16 F 0.2501 0.9405 0.5548
17 F 0.2853 0.5813 0.5368
18 F 0.2853 0.9187 0.0368
19 F 0.3283 0.0878 0.9146
20 F 0.3283 0.4122 0.4146
21 F 0.4801 0.1850 0.6279
22 F 0.4801 0.3150 0.1279
23 F 0.4799 0.5788 0.3512
24 F 0.4799 0.9212 0.8512
25 F 0.5201 0.0788 0.1488
26 F 0.5201 0.4212 0.6488
27 F 0.5199 0.6850 0.8721
28 F 0.5199 0.8150 0.3721
29 F 0.6717 0.5878 0.5854
30 F 0.6717 0.9122 0.0854
31 F 0.7147 0.0813 0.9632
32 F 0.7147 0.4187 0.4632
33 F 0.7499 0.0595 0.4452
34 F 0.7499 0.4405 0.9452
35 F 0.8356 0.0340 0.7542
36 F 0.8356 0.4660 0.2542
37 F 0.9535 0.2293 0.6126
38 F 0.9535 0.2707 0.1126


The following is a computed X-ray diffraction stick pattern of BeFe2O4. It was derived from a crystal structure in the Materials Project, relaxed with PBE+U, using copper Kα.
Lines closer than 0.1° are merged.

Main lines, by angle (15° ≤ 2θ ≤ 90°):
(1 0 1), d 4.221, rel. 50
(1 1 1), d 3.427, rel. 100
(3 0 1), d 2.720, rel. 62
(2 2 0), d 2.536, rel. 43
(3 1 1), d 2.468, rel. 38
(1 2 1), d 2.410, rel. 58
(2 2 2), d 1.714, rel. 77
(4 0 2), d 1.707, rel. 32
(5 2 1), d 1.563, rel. 24
(6 2 0), d 1.456, rel. 24

Atomic structure:
Cell: 10.0598 5.8724 4.6498 Å, 90.00 90.00 90.00°
Sites, in units of the cell vectors:
1 Be 0.0923 0.2500 0.0724
2 Be 0.4077 0.7500 0.5724
3 Be 0.5923 0.2500 0.4276
4 Be 0.9077 0.7500 0.9276
5 Fe 0.0000 0.0000 0.5000
6 Fe 0.0000 0.5000 0.5000
7 Fe 0.2270 0.7500 0.0097
8 Fe 0.2730 0.2500 0.5097
9 Fe 0.5000 0.0000 0.0000
10 Fe 0.5000 0.5000 0.0000
11 Fe 0.7270 0.7500 0.4903
12 Fe 0.7730 0.2500 0.9903
13 O 0.0601 0.7500 0.7683
14 O 0.0917 0.2500 0.7283
15 O 0.1627 0.0259 0.2349
16 O 0.1627 0.4741 0.2349
17 O 0.3373 0.5259 0.7349
18 O 0.3373 0.9741 0.7349
19 O 0.4083 0.7500 0.2283
20 O 0.4399 0.2500 0.2683
21 O 0.5601 0.7500 0.7317
22 O 0.5917 0.2500 0.7717
23 O 0.6627 0.0259 0.2651
24 O 0.6627 0.4741 0.2651
25 O 0.8373 0.5259 0.7651
26 O 0.8373 0.9741 0.7651
27 O 0.9083 0.7500 0.2717
28 O 0.9399 0.2500 0.2317